This entry pairs a crystal structure of DyHfCl with its computed powder X-ray diffraction pattern. Radiation: CuKα. Structure: a structure optimized by DFT (GGA-PBE).
Lines closer than 0.1° are merged.

Structural model:
```
DyHfCl
1.0
3.464 0.000 0.000
1.732 3.000 0.000
1.686 -0.817 15.384
Dy Hf Cl
2 2 2
direct
0.000 0.000 0.000 Dy
0.018 0.471 0.506 Dy
0.224 0.381 0.176 Hf
0.460 0.757 0.332 Hf
0.276 0.837 0.627 Cl
0.409 0.300 0.879 Cl
```

Peak list (12 most intense, 10 to 90 degrees two-theta, by angle)
d = 7.692 Å, I = 28.1
d = 2.975 Å, I = 59.6
d = 2.899 Å, I = 28.9
d = 2.858 Å, I = 24.6
d = 2.668 Å, I = 100.0
d = 2.649 Å, I = 49.9
d = 2.564 Å, I = 55.0
d = 2.529 Å, I = 43.3
d = 2.509 Å, I = 88.0
d = 2.447 Å, I = 17.6
d = 1.732 Å, I = 63.2
d = 1.428 Å, I = 16.7

---

This entry pairs a crystal structure of LiCa6Tl2 with its computed powder X-ray diffraction pattern. Radiation: CuKα. Structure: a structure optimized by DFT (GGA-PBE).
Lines closer than 0.1° are merged.

Structural model:
```
LiCa6Tl2
1.0
5.643 0.000 0.000
-2.822 4.887 0.000
0.000 0.000 10.458
Li Ca Tl
1 6 2
direct
0.000 0.000 0.000 Li
0.000 0.000 0.302 Ca
0.000 0.000 0.698 Ca
0.333 0.667 0.095 Ca
0.333 0.667 0.454 Ca
0.667 0.333 0.546 Ca
0.667 0.333 0.905 Ca
0.333 0.667 0.773 Tl
0.667 0.333 0.227 Tl
```

Peak list (12 most intense, 10 to 90 degrees two-theta, by angle)
d = 5.229 Å, I = 35.9
d = 4.887 Å, I = 30.2
d = 4.428 Å, I = 100.0
d = 2.838 Å, I = 99.3
d = 2.822 Å, I = 91.0
d = 2.483 Å, I = 34.5
d = 2.379 Å, I = 21.0
d = 2.001 Å, I = 35.8
d = 1.819 Å, I = 19.4
d = 1.632 Å, I = 37.0
d = 1.629 Å, I = 16.9
d = 1.263 Å, I = 17.5

---

This entry pairs a crystal structure of KTi4I7 with its computed powder X-ray diffraction pattern. Radiation: CuKα. Structure: a structure optimized by DFT (GGA-PBE).
Lines closer than 0.1° are merged.

Structural model:
```
KTi4I7
1.0
5.162 0.000 0.000
0.000 21.019 0.000
0.000 0.000 7.926
K Ti I
2 8 14
direct
0.250 0.250 0.085 K
0.750 0.750 0.915 K
0.250 0.505 0.906 Ti
0.250 0.607 0.128 Ti
0.250 0.893 0.128 Ti
0.250 0.995 0.906 Ti
0.750 0.005 0.094 Ti
0.750 0.107 0.872 Ti
0.750 0.393 0.872 Ti
0.750 0.495 0.094 Ti
0.250 0.015 0.260 I
0.250 0.115 0.729 I
0.250 0.385 0.729 I
0.250 0.485 0.260 I
0.250 0.639 0.790 I
0.250 0.750 0.218 I
0.250 0.861 0.790 I
0.750 0.139 0.210 I
0.750 0.250 0.782 I
0.750 0.361 0.210 I
0.750 0.515 0.740 I
0.750 0.615 0.271 I
0.750 0.885 0.271 I
0.750 0.985 0.740 I
```

Peak list (12 most intense, 10 to 90 degrees two-theta, by angle)
d = 7.926 Å, I = 19.0
d = 3.963 Å, I = 43.5
d = 3.340 Å, I = 100.0
d = 2.868 Å, I = 11.2
d = 2.808 Å, I = 17.0
d = 2.627 Å, I = 21.1
d = 2.581 Å, I = 28.8
d = 2.339 Å, I = 15.2
d = 2.163 Å, I = 16.8
d = 2.147 Å, I = 38.2
d = 1.841 Å, I = 13.9
d = 1.602 Å, I = 11.7

---

This entry pairs a crystal structure of Cs4NdU3O12 with its computed powder X-ray diffraction pattern. Radiation: CuKα. Structure: a structure optimized by DFT (GGA-PBE).
Lines closer than 0.1° are merged.

Structural model:
```
Cs4NdU3O12
1.0
-4.451 4.451 4.451
4.451 -4.451 4.451
4.451 4.451 -4.451
Cs Nd U O
4 1 3 12
direct
0.000 0.000 0.500 Cs
0.000 0.500 0.000 Cs
0.500 0.000 0.000 Cs
0.500 0.500 0.500 Cs
0.000 0.000 0.000 Nd
0.000 0.500 0.500 U
0.500 0.000 0.500 U
0.500 0.500 0.000 U
0.000 0.272 0.272 O
0.000 0.728 0.728 O
0.250 0.500 0.750 O
0.250 0.750 0.500 O
0.272 0.000 0.272 O
0.272 0.272 0.000 O
0.500 0.250 0.750 O
0.500 0.750 0.250 O
0.728 0.000 0.728 O
0.728 0.728 0.000 O
0.750 0.250 0.500 O
0.750 0.500 0.250 O
```

Peak list (12 most intense, 10 to 90 degrees two-theta, by angle)
d = 6.295 Å, I = 2.5
d = 4.451 Å, I = 9.8
d = 3.148 Å, I = 100.0
d = 2.226 Å, I = 27.7
d = 1.991 Å, I = 4.8
d = 1.817 Å, I = 42.2
d = 1.574 Å, I = 18.1
d = 1.484 Å, I = 2.3
d = 1.408 Å, I = 19.2
d = 1.285 Å, I = 6.1
d = 1.190 Å, I = 22.9
d = 1.113 Å, I = 3.0